Record 1
Starting from DFT lattice parameters and positions (GGA-PBE), the powder XRD pattern of SmMg2Ag2Pb2 was computed for Cu Kα.
Kinematic intensities with the Lorentz-polarization factor, no thermal factor.

Largest 12 diffraction maxima, sorted by position, 10 to 90 degrees two-theta:
| 2θ (°) | d_spacing | I/Imax |
| --- | --- | --- |
| 20.85 | 4.260 | 15.8 |
| 25.79 | 3.455 | 100.0 |
| 32.82 | 2.729 | 88.7 |
| 37.95 | 2.371 | 99.1 |
| 44.82 | 2.022 | 36.1 |
| 46.45 | 1.955 | 21.2 |
| 51.03 | 1.790 | 25.4 |
| 60.14 | 1.539 | 15.9 |
| 61.48 | 1.508 | 18.6 |
| 65.33 | 1.428 | 24.1 |
| 68.55 | 1.369 | 17.3 |
| 73.36 | 1.291 | 17.0 |

Crystal structure
a = 8.948 Å, b = 8.948 Å, c = 8.948 Å
α = 30.73°, β = 30.73°, γ = 30.73°
Sites, in units of the cell vectors:
Sm1 0.000 0.000 0.000
Mg1 0.139 0.139 0.139
Mg2 0.861 0.861 0.861
Ag1 0.444 0.444 0.444
Ag2 0.556 0.556 0.556
Pb1 0.267 0.267 0.267
Pb2 0.733 0.733 0.733

---

Record 2
Starting from DFT lattice parameters and positions (GGA-PBE), the powder XRD pattern of Mg6Ag12Pd was computed for Cu Kα.
Kinematic intensities with the Lorentz-polarization factor, no thermal factor.

Largest 12 diffraction maxima, sorted by position, 10 to 90 degrees two-theta:
| 2θ (°) | d_spacing | I/Imax |
| --- | --- | --- |
| 17.72 | 5.007 | 12.5 |
| 25.21 | 3.533 | 16.0 |
| 28.19 | 3.166 | 46.0 |
| 30.94 | 2.891 | 16.7 |
| 38.17 | 2.358 | 100.0 |
| 38.38 | 2.345 | 47.6 |
| 40.31 | 2.238 | 42.9 |
| 40.43 | 2.231 | 46.6 |
| 42.40 | 2.132 | 16.7 |
| 55.13 | 1.666 | 10.2 |
| 71.83 | 1.314 | 14.1 |
| 84.52 | 1.146 | 11.0 |

Crystal structure
a = 7.066 Å, b = 7.066 Å, c = 7.066 Å
α = 90.27°, β = 90.27°, γ = 90.27°
Sites, in units of the cell vectors:
Mg1 0.223 0.384 0.760
Mg2 0.240 0.777 0.616
Mg3 0.384 0.760 0.223
Mg4 0.616 0.240 0.777
Mg5 0.760 0.223 0.384
Mg6 0.777 0.616 0.240
Ag1 0.030 0.943 0.298
Ag2 0.057 0.702 0.970
Ag3 0.129 0.462 0.347
Ag4 0.298 0.030 0.943
Ag5 0.347 0.129 0.462
Ag6 0.462 0.347 0.129
Ag7 0.538 0.653 0.871
Ag8 0.653 0.871 0.538
Ag9 0.702 0.970 0.057
Ag10 0.871 0.538 0.653
Ag11 0.943 0.298 0.030
Ag12 0.970 0.057 0.702
Pd1 0.500 0.500 0.500

---

Record 3
Starting from DFT lattice parameters and positions (GGA-PBE), the powder XRD pattern of Mg3AgPd12 was computed for Cu Kα.
Kinematic intensities with the Lorentz-polarization factor, no thermal factor.

Largest 12 diffraction maxima, sorted by position, 10 to 90 degrees two-theta:
| 2θ (°) | d_spacing | I/Imax |
| --- | --- | --- |
| 22.36 | 3.976 | 8.8 |
| 31.83 | 2.811 | 7.1 |
| 39.25 | 2.295 | 100.0 |
| 45.60 | 1.990 | 32.4 |
| 45.72 | 1.985 | 16.0 |
| 51.36 | 1.779 | 2.5 |
| 56.71 | 1.623 | 2.7 |
| 66.52 | 1.406 | 30.4 |
| 71.13 | 1.325 | 1.6 |
| 79.99 | 1.199 | 23.9 |
| 80.17 | 1.197 | 11.8 |
| 84.40 | 1.148 | 10.5 |

Crystal structure
a = 3.979 Å, b = 3.979 Å, c = 15.876 Å
α = 90.00°, β = 90.00°, γ = 90.00°
Sites, in units of the cell vectors:
Mg1 0.000 0.000 0.000
Mg2 0.000 0.000 0.248
Mg3 0.000 0.000 0.752
Ag1 0.000 0.000 0.500
Pd1 0.000 0.500 0.124
Pd2 0.000 0.500 0.373
Pd3 0.000 0.500 0.627
Pd4 0.000 0.500 0.876
Pd5 0.500 0.000 0.124
Pd6 0.500 0.000 0.373
Pd7 0.500 0.000 0.627
Pd8 0.500 0.000 0.876
Pd9 0.500 0.500 0.000
Pd10 0.500 0.500 0.249
Pd11 0.500 0.500 0.500
Pd12 0.500 0.500 0.751

---

Record 4
Starting from DFT lattice parameters and positions (GGA-PBE), the powder XRD pattern of Mg4AgPd15 was computed for Cu Kα.
Kinematic intensities with the Lorentz-polarization factor, no thermal factor.

Largest 12 diffraction maxima, sorted by position, 10 to 90 degrees two-theta:
| 2θ (°) | d_spacing | I/Imax |
| --- | --- | --- |
| 22.33 | 3.982 | 10.3 |
| 22.78 | 3.903 | 0.9 |
| 31.78 | 2.815 | 8.4 |
| 39.19 | 2.299 | 100.0 |
| 45.56 | 1.991 | 48.4 |
| 51.31 | 1.781 | 4.3 |
| 56.62 | 1.626 | 3.2 |
| 66.41 | 1.408 | 30.5 |
| 71.02 | 1.327 | 2.0 |
| 75.51 | 1.259 | 1.4 |
| 79.90 | 1.201 | 35.7 |
| 84.24 | 1.149 | 10.5 |

Crystal structure
a = 3.980 Å, b = 3.980 Å, c = 19.923 Å
α = 90.00°, β = 90.00°, γ = 90.00°
Sites, in units of the cell vectors:
Mg1 0.000 0.000 0.100
Mg2 0.000 0.000 0.299
Mg3 0.000 0.000 0.701
Mg4 0.000 0.000 0.900
Ag1 0.000 0.000 0.500
Pd1 0.000 0.500 0.000
Pd2 0.000 0.500 0.199
Pd3 0.000 0.500 0.398
Pd4 0.000 0.500 0.602
Pd5 0.000 0.500 0.801
Pd6 0.500 0.000 0.000
Pd7 0.500 0.000 0.199
Pd8 0.500 0.000 0.398
Pd9 0.500 0.000 0.602
Pd10 0.500 0.000 0.801
Pd11 0.500 0.500 0.100
Pd12 0.500 0.500 0.299
Pd13 0.500 0.500 0.500
Pd14 0.500 0.500 0.701
Pd15 0.500 0.500 0.900

---

Record 5
Starting from DFT lattice parameters and positions (GGA-PBE), the powder XRD pattern of MgAg6Pd8 was computed for Cu Kα.
Kinematic intensities with the Lorentz-polarization factor, no thermal factor.

Largest 12 diffraction maxima, sorted by position, 10 to 90 degrees two-theta:
| 2θ (°) | d_spacing | I/Imax |
| --- | --- | --- |
| 12.60 | 7.026 | 22.0 |
| 25.35 | 3.513 | 21.8 |
| 33.75 | 2.656 | 13.6 |
| 38.39 | 2.344 | 58.4 |
| 38.97 | 2.311 | 56.2 |
| 43.18 | 2.095 | 100.0 |
| 46.58 | 1.950 | 12.4 |
| 69.52 | 1.352 | 19.1 |
| 69.84 | 1.347 | 18.7 |
| 72.72 | 1.300 | 21.2 |
| 82.32 | 1.171 | 26.0 |
| 85.46 | 1.136 | 12.5 |

Crystal structure
a = 8.113 Å, b = 8.113 Å, c = 4.691 Å
α = 90.00°, β = 90.00°, γ = 120.00°
Sites, in units of the cell vectors:
Mg1 0.000 0.000 0.000
Ag1 0.213 0.426 0.000
Ag2 0.213 0.787 0.000
Ag3 0.426 0.213 0.000
Ag4 0.574 0.787 0.000
Ag5 0.787 0.213 0.000
Ag6 0.787 0.574 0.000
Pd1 0.000 0.328 0.500
Pd2 0.000 0.672 0.500
Pd3 0.328 0.000 0.500
Pd4 0.328 0.328 0.500
Pd5 0.333 0.667 0.500
Pd6 0.667 0.333 0.500
Pd7 0.672 0.000 0.500
Pd8 0.672 0.672 0.500

---

Record 6
Starting from DFT lattice parameters and positions (GGA-PBE), the powder XRD pattern of MgAg14Pd was computed for Cu Kα.
Kinematic intensities with the Lorentz-polarization factor, no thermal factor.

Largest 12 diffraction maxima, sorted by position, 10 to 90 degrees two-theta:
| 2θ (°) | d_spacing | I/Imax |
| --- | --- | --- |
| 35.48 | 2.530 | 11.1 |
| 36.49 | 2.462 | 19.1 |
| 36.75 | 2.445 | 38.7 |
| 37.74 | 2.384 | 52.4 |
| 40.12 | 2.248 | 52.4 |
| 40.36 | 2.235 | 100.0 |
| 45.84 | 1.979 | 20.1 |
| 63.36 | 1.468 | 21.3 |
| 69.90 | 1.346 | 18.2 |
| 76.16 | 1.250 | 24.6 |
| 76.64 | 1.243 | 12.1 |
| 78.17 | 1.223 | 13.7 |

Crystal structure
a = 9.535 Å, b = 5.872 Å, c = 5.872 Å
α = 59.52°, β = 90.00°, γ = 90.00°
Sites, in units of the cell vectors:
Mg1 0.000 0.000 0.000
Ag1 0.000 0.001 0.499
Ag2 0.000 0.499 0.001
Ag3 0.248 0.167 0.667
Ag4 0.248 0.666 0.666
Ag5 0.248 0.667 0.167
Ag6 0.250 0.166 0.166
Ag7 0.500 0.332 0.332
Ag8 0.500 0.332 0.832
Ag9 0.500 0.832 0.332
Ag10 0.500 0.832 0.832
Ag11 0.750 0.166 0.166
Ag12 0.752 0.167 0.667
Ag13 0.752 0.666 0.666
Ag14 0.752 0.667 0.167
Pd1 0.000 0.500 0.500

---

Record 7
Starting from DFT lattice parameters and positions (GGA-PBE), the powder XRD pattern of MgAgPd5 was computed for Cu Kα.
Kinematic intensities with the Lorentz-polarization factor, no thermal factor.

Largest 12 diffraction maxima, sorted by position, 10 to 90 degrees two-theta:
| 2θ (°) | d_spacing | I/Imax |
| --- | --- | --- |
| 19.56 | 4.537 | 36.2 |
| 19.92 | 4.457 | 33.9 |
| 24.45 | 3.640 | 47.9 |
| 33.82 | 2.651 | 30.1 |
| 34.03 | 2.634 | 37.2 |
| 39.01 | 2.309 | 76.5 |
| 39.73 | 2.269 | 70.1 |
| 40.10 | 2.249 | 100.0 |
| 40.48 | 2.228 | 73.4 |
| 40.66 | 2.219 | 90.3 |
| 49.19 | 1.852 | 53.9 |
| 49.67 | 1.835 | 44.1 |

Crystal structure
a = 5.089 Å, b = 5.209 Å, c = 9.237 Å
α = 90.00°, β = 90.00°, γ = 90.00°
Sites, in units of the cell vectors:
Mg1 0.000 0.000 0.000
Mg2 0.500 0.500 0.500
Ag1 0.000 0.500 0.337
Ag2 0.500 0.000 0.837
Pd1 0.000 0.244 0.591
Pd2 0.000 0.500 0.060
Pd3 0.000 0.756 0.591
Pd4 0.246 0.000 0.309
Pd5 0.254 0.500 0.809
Pd6 0.500 0.000 0.560
Pd7 0.500 0.256 0.091
Pd8 0.500 0.744 0.091
Pd9 0.746 0.500 0.809
Pd10 0.754 0.000 0.309

---

Record 8
Starting from DFT lattice parameters and positions (GGA-PBE), the powder XRD pattern of Mg2Ag2Pd15 was computed for Cu Kα.
Kinematic intensities with the Lorentz-polarization factor, no thermal factor.

Largest 12 diffraction maxima, sorted by position, 10 to 90 degrees two-theta:
| 2θ (°) | d_spacing | I/Imax |
| --- | --- | --- |
| 19.57 | 4.537 | 26.4 |
| 34.23 | 2.619 | 15.1 |
| 34.75 | 2.581 | 12.6 |
| 39.50 | 2.282 | 26.3 |
| 39.69 | 2.271 | 100.0 |
| 44.45 | 2.038 | 18.1 |
| 44.61 | 2.031 | 56.7 |
| 64.97 | 1.435 | 14.2 |
| 68.44 | 1.371 | 8.6 |
| 72.12 | 1.310 | 15.9 |
| 75.21 | 1.263 | 14.8 |
| 85.49 | 1.136 | 13.8 |

Crystal structure
a = 6.947 Å, b = 6.947 Å, c = 6.947 Å
α = 81.54°, β = 81.54°, γ = 81.54°
Sites, in units of the cell vectors:
Mg1 0.112 0.112 0.112
Mg2 0.888 0.888 0.888
Ag1 0.373 0.373 0.373
Ag2 0.627 0.627 0.627
Pd1 0.000 0.000 0.500
Pd2 0.000 0.312 0.688
Pd3 0.000 0.500 0.000
Pd4 0.000 0.688 0.312
Pd5 0.161 0.655 0.655
Pd6 0.312 0.000 0.688
Pd7 0.312 0.688 0.000
Pd8 0.345 0.345 0.839
Pd9 0.345 0.839 0.345
Pd10 0.500 0.000 0.000
Pd11 0.655 0.161 0.655
Pd12 0.655 0.655 0.161
Pd13 0.688 0.000 0.312
Pd14 0.688 0.312 0.000
Pd15 0.839 0.345 0.345